1.
This entry pairs a crystal structure of Li4TiMn2Ni3P6O24 with its theoretical powder diffractogram. Radiation: a wavelength of 1.5418 Å. Structure: a DFT-relaxed cell (PBE+U, the Materials Project).
Kinematic intensities with the Lorentz-polarization factor, no thermal factor.

Principal peaks in the range 2θ = 15–90°, in order of rising 2θ:
20.15°, I 100; 23.84°, I 40; 23.96°, I 41; 24.11°, I 39; 32.82°, I 37; 33.00°, I 34; 33.21°, I 32; 35.27°, I 60; 49.05°, I 15; 55.17°, I 21

Structural model:
```
Li4TiMn2Ni3P6O24
1.0
8.5065 0.0000 0.0000
4.0335 7.5819 0.0000
4.0236 2.4682 7.1869
Li Ti Mn Ni P O
4 1 2 3 6 24
direct
0.0000 0.0000 0.0000
0.0997 0.5015 0.8602
0.4559 0.7032 0.3021
0.8966 0.0592 0.5035
0.8958 0.5022 0.3064
0.2600 0.8524 0.6468
0.7311 0.3560 0.1496
0.1031 0.7031 0.5053
0.3916 0.0010 0.7957
0.6036 0.2064 0.0028
0.0005 0.3066 0.7060
0.1951 0.1055 0.1927
0.3004 0.6048 0.1059
0.5024 0.3952 0.6071
0.7013 0.9057 0.4070
0.7985 0.8099 0.9074
0.0652 0.4578 0.6787
0.1312 0.5341 0.1708
0.1495 0.1116 0.7135
0.1828 0.9459 0.3883
0.1969 0.0542 0.0438
0.2777 0.6651 0.2583
0.2802 0.7695 0.9245
0.3442 0.5928 0.5853
0.3566 0.1665 0.1408
0.4464 0.2413 0.6296
0.4885 0.4497 0.0768
0.5098 0.9113 0.5577
0.5732 0.3601 0.7546
0.6302 0.8494 0.8613
0.6556 0.4339 0.4026
0.6972 0.0866 0.2382
0.7598 0.7352 0.3431
0.7878 0.9556 0.9682
0.8266 0.6073 0.0635
0.8472 0.2791 0.8985
0.8533 0.8754 0.4749
0.9326 0.3644 0.5396
0.9926 0.7813 0.7469
0.9948 0.2617 0.2369
```



2.
This entry pairs a crystal structure of Li4Mn3Ni2Sb3O16 with its theoretical powder diffractogram. Radiation: a wavelength of 1.5418 Å. Structure: a DFT-relaxed cell (PBE+U, the Materials Project).
Kinematic intensities with the Lorentz-polarization factor, no thermal factor.

Principal peaks in the range 2θ = 15–90°, in order of rising 2θ:
18.21°, I 100; 18.75°, I 38; 19.05°, I 52; 34.78°, I 40; 35.14°, I 29; 35.31°, I 32; 38.65°, I 25; 43.99°, I 27; 59.18°, I 28; 60.15°, I 32

Structural model:
```
Li4Mn3Ni2Sb3O16
1.0
5.3559 -3.0339 0.0000
5.3559 3.0339 0.0000
-0.1871 0.0000 9.7457
Li Mn Ni Sb O
4 3 2 3 16
direct
0.0000 0.0000 0.0000
0.0053 0.0053 0.5130
0.3311 0.3311 0.6300
0.6673 0.6673 0.1101
0.1624 0.1624 0.2892
0.3321 0.8256 0.7913
0.8256 0.3321 0.7913
0.3217 0.3217 0.0039
0.6513 0.6513 0.5266
0.1632 0.6554 0.2901
0.6554 0.1632 0.2901
0.8234 0.8234 0.7911
0.0312 0.4844 0.1715
0.1472 0.6733 0.9040
0.1492 0.1492 0.8955
0.3079 0.8263 0.4021
0.3395 0.3395 0.4085
0.4793 0.4793 0.1708
0.4844 0.0312 0.1715
0.5142 0.9588 0.6677
0.5162 0.5162 0.6818
0.6682 0.6682 0.9054
0.6733 0.1472 0.9040
0.8263 0.3079 0.4021
0.8381 0.8381 0.4033
0.9588 0.5142 0.6677
0.9831 0.9831 0.1838
0.9859 0.9859 0.6921
```



3.
This entry pairs a crystal structure of Li4Mn3Ni2Sn3O16 with its theoretical powder diffractogram. Radiation: a wavelength of 1.5418 Å. Structure: a DFT-relaxed cell (PBE+U, the Materials Project).
Kinematic intensities with the Lorentz-polarization factor, no thermal factor.

Principal peaks in the range 2θ = 15–90°, in order of rising 2θ:
18.30°, I 100; 19.27°, I 81; 19.33°, I 28; 24.96°, I 25; 32.47°, I 25; 35.48°, I 49; 35.58°, I 47; 44.42°, I 39; 44.67°, I 39; 61.36°, I 46

Structural model:
```
Li4Mn3Ni2Sn3O16
1.0
5.2345 -3.0215 0.0000
5.2345 3.0215 0.0000
-0.0765 0.0000 9.6976
Li Mn Ni Sn O
4 3 2 3 16
direct
0.0000 0.0000 0.0000
0.0039 0.0039 0.4930
0.3149 0.3149 0.3795
0.6498 0.6498 0.8892
0.1567 0.1567 0.7142
0.3258 0.8182 0.2125
0.8182 0.3258 0.2125
0.3208 0.3208 0.9896
0.6526 0.6526 0.4833
0.1556 0.6495 0.7118
0.6495 0.1556 0.7118
0.8186 0.8186 0.2114
0.0206 0.4586 0.8337
0.1486 0.1486 0.1103
0.1558 0.6743 0.0999
0.3091 0.3091 0.5968
0.3086 0.8396 0.6028
0.4586 0.0206 0.8337
0.4698 0.4698 0.8398
0.4934 0.9492 0.3316
0.5054 0.5054 0.3252
0.6425 0.6425 0.1038
0.6743 0.1558 0.0999
0.8319 0.8319 0.5893
0.8396 0.3086 0.6028
0.9492 0.4934 0.3316
0.9984 0.9984 0.8162
0.9987 0.9987 0.3093
```



4.
This entry pairs a crystal structure of Li4Mn2Ni3Sn3O16 with its theoretical powder diffractogram. Radiation: a wavelength of 1.5418 Å. Structure: a DFT-relaxed cell (PBE+U, the Materials Project).
Kinematic intensities with the Lorentz-polarization factor, no thermal factor.

Principal peaks in the range 2θ = 15–90°, in order of rising 2θ:
18.61°, I 100; 19.29°, I 72; 19.41°, I 43; 25.24°, I 35; 32.94°, I 33; 35.20°, I 35; 35.45°, I 70; 35.70°, I 35; 44.76°, I 58; 59.93°, I 36

Structural model:
```
Li4Mn2Ni3Sn3O16
1.0
5.2137 -3.0405 0.0000
5.2137 3.0405 0.0000
-0.0243 0.0000 9.5380
Li Mn Ni Sn O
4 2 3 3 16
direct
0.0000 0.0000 0.0000
0.0053 0.0053 0.4885
0.3159 0.3159 0.3908
0.6526 0.6526 0.8997
0.3163 0.3163 0.9889
0.6449 0.6449 0.4807
0.1570 0.1570 0.7136
0.3283 0.8141 0.2124
0.8141 0.3283 0.2124
0.1563 0.6466 0.7119
0.6466 0.1563 0.7119
0.8168 0.8168 0.2121
0.0289 0.4660 0.8535
0.1566 0.6512 0.0950
0.1617 0.1617 0.0994
0.3172 0.3172 0.5970
0.3272 0.8139 0.5930
0.4660 0.0289 0.8535
0.4678 0.4678 0.8512
0.5048 0.9398 0.3499
0.5066 0.5066 0.3462
0.6450 0.6450 0.1068
0.6512 0.1566 0.0950
0.8139 0.3272 0.5930
0.8195 0.8195 0.5913
0.9398 0.5048 0.3499
0.9902 0.9902 0.8122
0.9968 0.9968 0.3005
```



5.
This entry pairs a crystal structure of Li4Mn3Ni3Te2O16 with its theoretical powder diffractogram. Radiation: a wavelength of 1.5418 Å. Structure: a DFT-relaxed cell (PBE+U, the Materials Project).
Kinematic intensities with the Lorentz-polarization factor, no thermal factor.

Principal peaks in the range 2θ = 15–90°, in order of rising 2θ:
19.39°, I 100; 19.58°, I 67; 19.68°, I 31; 25.06°, I 24; 32.51°, I 25; 35.10°, I 29; 35.36°, I 33; 35.68°, I 32; 35.93°, I 29; 62.41°, I 46

Structural model:
```
Li4Mn3Ni3Te2O16
1.0
5.1511 -2.9783 0.0000
5.1511 2.9783 0.0000
-0.2017 0.0000 9.7103
Li Mn Ni Te O
4 3 3 2 16
direct
0.0000 0.0000 0.0000
0.9999 0.9999 0.4944
0.3307 0.3307 0.9269
0.6628 0.6628 0.4190
0.1741 0.1741 0.2256
0.3392 0.8307 0.7237
0.8307 0.3392 0.7237
0.1715 0.6617 0.2239
0.6617 0.1715 0.2239
0.8285 0.8285 0.7264
0.3377 0.3377 0.4939
0.6709 0.6709 0.9979
0.0085 0.0085 0.8092
0.0109 0.0109 0.3093
0.0370 0.4711 0.3590
0.1688 0.6635 0.6009
0.1779 0.1779 0.5989
0.3257 0.3257 0.1236
0.3433 0.8422 0.1073
0.4711 0.0370 0.3590
0.4810 0.4810 0.3672
0.5150 0.9618 0.8632
0.5161 0.5161 0.8758
0.6559 0.6559 0.6254
0.6635 0.1688 0.6009
0.8340 0.8340 0.0978
0.8422 0.3433 0.1073
0.9618 0.5150 0.8632
```



6.
This entry pairs a crystal structure of Li2MnV4NiO12 with its theoretical powder diffractogram. Radiation: a wavelength of 1.5418 Å. Structure: a DFT-relaxed cell (PBE+U, the Materials Project).
Kinematic intensities with the Lorentz-polarization factor, no thermal factor.

Principal peaks in the range 2θ = 15–90°, in order of rising 2θ:
18.46°, I 19; 19.17°, I 28; 23.71°, I 27; 25.43°, I 20; 27.67°, I 100; 29.24°, I 61; 33.47°, I 37; 34.95°, I 27; 51.68°, I 19; 53.08°, I 22

Structural model:
```
Li2MnV4NiO12
1.0
5.2019 -4.6303 0.0000
5.2019 4.6303 0.0000
-2.0693 0.0000 5.3554
Li Mn V Ni O
2 1 4 1 12
direct
0.0000 0.0000 0.0000
0.5166 0.4834 0.5000
0.8447 0.1553 0.5000
0.1546 0.4302 0.0178
0.3677 0.0390 0.4816
0.5698 0.8454 0.9822
0.9610 0.6323 0.5184
0.6713 0.3287 0.0000
0.1069 0.6081 0.8106
0.1151 0.6074 0.3146
0.1314 0.1486 0.4289
0.3919 0.8931 0.1894
0.3926 0.8849 0.6854
0.4025 0.3514 0.0928
0.5488 0.2202 0.6050
0.6486 0.5975 0.9072
0.7378 0.0462 0.0977
0.7798 0.4512 0.3950
0.8514 0.8686 0.5711
0.9538 0.2622 0.9023
```



7.
This entry pairs a crystal structure of Li4Mn3V3Ni2O16 with its theoretical powder diffractogram. Radiation: a wavelength of 1.5418 Å. Structure: a DFT-relaxed cell (PBE+U, the Materials Project).
Kinematic intensities with the Lorentz-polarization factor, no thermal factor.

Principal peaks in the range 2θ = 15–90°, in order of rising 2θ:
18.44°, I 87; 19.77°, I 51; 19.89°, I 100; 33.06°, I 39; 35.94°, I 61; 36.88°, I 44; 40.41°, I 35; 45.80°, I 54; 60.47°, I 34; 63.64°, I 39

Structural model:
```
Li4Mn3V3Ni2O16
1.0
5.0779 -2.9017 0.0000
5.0779 2.9017 0.0000
-0.0267 0.0000 9.6235
Li Mn V Ni O
4 3 3 2 16
direct
0.0000 0.0000 0.0000
0.0017 0.0017 0.4999
0.3297 0.3297 0.3893
0.6640 0.6640 0.8913
0.1677 0.1677 0.7170
0.3362 0.8295 0.2167
0.8295 0.3362 0.2167
0.1676 0.6617 0.7163
0.6617 0.1676 0.7163
0.8302 0.8302 0.2165
0.3306 0.3306 0.9935
0.6635 0.6635 0.4899
0.0018 0.0018 0.3149
0.0027 0.0027 0.8154
0.0335 0.4795 0.8326
0.1547 0.1547 0.1084
0.1547 0.6827 0.1094
0.3158 0.8379 0.6091
0.3269 0.3269 0.6076
0.4780 0.4780 0.8319
0.4795 0.0335 0.8326
0.5152 0.5152 0.3310
0.5151 0.9612 0.3315
0.6611 0.6611 0.1090
0.6827 0.1547 0.1094
0.8379 0.3158 0.6091
0.8417 0.8417 0.6088
0.9612 0.5151 0.3315
```



8.
This entry pairs a crystal structure of Li4Mn3Ni3W2O16 with its theoretical powder diffractogram. Radiation: a wavelength of 1.5418 Å. Structure: a DFT-relaxed cell (PBE+U, the Materials Project).
Kinematic intensities with the Lorentz-polarization factor, no thermal factor.

Principal peaks in the range 2θ = 15–90°, in order of rising 2θ:
19.16°, I 30; 19.51°, I 100; 19.68°, I 68; 25.36°, I 32; 32.47°, I 26; 32.82°, I 33; 34.92°, I 30; 35.55°, I 43; 35.67°, I 29; 59.95°, I 21

Structural model:
```
Li4Mn3Ni3W2O16
1.0
5.2017 -2.9396 0.0000
5.2017 2.9396 0.0000
-0.2241 0.0000 9.7494
Li Mn Ni W O
4 3 3 2 16
direct
0.0000 0.0000 0.0000
0.0093 0.0093 0.4942
0.3473 0.3473 0.4131
0.6673 0.6673 0.9215
0.1719 0.6674 0.7237
0.6674 0.1719 0.7237
0.8345 0.8345 0.2234
0.1779 0.1779 0.7215
0.3434 0.8355 0.2205
0.8355 0.3434 0.2205
0.3238 0.3238 0.9975
0.6734 0.6734 0.4902
0.9996 0.9996 0.3090
0.0052 0.0052 0.8109
0.0367 0.4844 0.8656
0.1643 0.6587 0.1001
0.1731 0.1731 0.0978
0.3475 0.3475 0.6199
0.3615 0.8543 0.5890
0.4822 0.4822 0.8535
0.4844 0.0367 0.8656
0.5314 0.5314 0.3628
0.5474 0.9741 0.3517
0.6587 0.1643 0.1001
0.6780 0.6780 0.1212
0.8452 0.8452 0.6003
0.8543 0.3615 0.5890
0.9741 0.5474 0.3517
```



9.
This entry pairs a crystal structure of Li3MnO4 with its theoretical powder diffractogram. Radiation: a wavelength of 1.5418 Å. Structure: a DFT-relaxed cell (PBE+U, the Materials Project).
Kinematic intensities with the Lorentz-polarization factor, no thermal factor.

Principal peaks in the range 2θ = 15–90°, in order of rising 2θ:
15.27°, I 100; 26.61°, I 75; 34.57°, I 23; 41.17°, I 17; 44.15°, I 76; 46.99°, I 14; 57.25°, I 14; 61.95°, I 19; 64.22°, I 38; 81.23°, I 11

Structural model:
```
Li3MnO4
1.0
-4.1023 4.1023 4.1023
4.1023 -4.1023 4.1023
4.1023 4.1023 -4.1023
Li Mn O
12 4 16
direct
0.0000 0.4838 0.7387
0.0000 0.7387 0.4838
0.2549 0.5162 0.5162
0.2613 0.2613 0.7451
0.2613 0.7451 0.2613
0.4838 0.0000 0.7387
0.4838 0.7387 0.0000
0.5162 0.2549 0.5162
0.5162 0.5162 0.2549
0.7387 0.0000 0.4838
0.7387 0.4838 0.0000
0.7451 0.2613 0.2613
0.0000 0.0000 0.2629
0.0000 0.2629 0.0000
0.2629 0.0000 0.0000
0.7371 0.7371 0.7371
0.0000 0.0000 0.7725
0.0000 0.2344 0.4765
0.0000 0.4765 0.2344
0.0000 0.7725 0.0000
0.2275 0.2275 0.2275
0.2344 0.0000 0.4765
0.2344 0.4765 0.0000
0.2421 0.7656 0.7656
0.4765 0.0000 0.2344
0.4765 0.2344 0.0000
0.5235 0.5235 0.7579
0.5235 0.7579 0.5235
0.7579 0.5235 0.5235
0.7656 0.2421 0.7656
0.7656 0.7656 0.2421
0.7725 0.0000 0.0000
```